[1]
Na3CoMo6O32: theoretical X-ray powder pattern (copper Kα), based on the GGA+U geometry in the Materials Project.

Main lines, in order of rising 2θ (5° ≤ 2θ ≤ 70°):
2θ = 9.03°, d 9.790, I 100
2θ = 13.52°, d 6.548, I 68
2θ = 16.83°, d 5.268, I 31
2θ = 18.50°, d 4.797, I 81
2θ = 31.51°, d 2.840, I 21
2θ = 35.41°, d 2.535, I 23

Structural model:
a = 6.897 Å, b = 10.974 Å, c = 11.371 Å
α = 113.27°, β = 107.52°, γ = 93.76°
Fractional coordinates of all 42 atoms:
Na  0.000  0.000  0.000
Na  0.143  0.092  0.451
Na  0.857  0.908  0.549
Co  0.500  0.500  0.000
Mo  0.061  0.485  0.739
Mo  0.123  0.219  0.821
Mo  0.438  0.764  0.914
Mo  0.562  0.236  0.086
Mo  0.877  0.781  0.179
Mo  0.939  0.515  0.261
O  0.012  0.634  0.433
O  0.014  0.246  0.371
O  0.020  0.643  0.191
O  0.033  0.880  0.141
O  0.085  0.119  0.646
O  0.133  0.425  0.249
O  0.257  0.867  0.934
O  0.281  0.610  0.743
O  0.290  0.589  0.952
O  0.335  0.367  0.019
O  0.379  0.402  0.821
O  0.384  0.162  0.132
O  0.400  0.178  0.888
O  0.488  0.979  0.542
O  0.490  0.282  0.550
O  0.497  0.647  0.509
O  0.503  0.353  0.491
O  0.510  0.718  0.450
O  0.512  0.021  0.458
O  0.600  0.822  0.112
O  0.616  0.838  0.868
O  0.621  0.598  0.179
O  0.665  0.633  0.981
O  0.710  0.411  0.048
O  0.719  0.390  0.257
O  0.743  0.133  0.066
O  0.867  0.575  0.751
O  0.915  0.881  0.354
O  0.967  0.120  0.859
O  0.980  0.357  0.809
O  0.986  0.754  0.629
O  0.988  0.366  0.567

[2]
LiCo3SbP6O24: theoretical X-ray powder pattern (copper Kα), based on the GGA+U geometry in the Materials Project.

Main lines, in order of rising 2θ (5° ≤ 2θ ≤ 70°):
2θ = 14.47°, d 6.121, I 51
2θ = 20.29°, d 4.376, I 90
2θ = 20.75°, d 4.282, I 62
2θ = 24.16°, d 3.684, I 100
2θ = 29.18°, d 3.061, I 64
2θ = 32.42°, d 2.762, I 54

Structural model:
a = 8.757 Å, b = 8.757 Å, c = 8.757 Å
α = 58.54°, β = 58.54°, γ = 58.54°
Fractional coordinates of all 35 atoms:
Li  0.000  0.000  0.000
Co  0.366  0.366  0.366
Co  0.654  0.654  0.654
Co  0.862  0.862  0.862
Sb  0.154  0.154  0.154
P  0.051  0.754  0.472
P  0.261  0.551  0.978
P  0.472  0.051  0.754
P  0.551  0.978  0.261
P  0.754  0.472  0.051
P  0.978  0.261  0.551
O  0.023  0.800  0.633
O  0.070  0.931  0.279
O  0.091  0.738  0.953
O  0.154  0.286  0.519
O  0.229  0.382  0.994
O  0.234  0.582  0.448
O  0.279  0.070  0.931
O  0.286  0.519  0.154
O  0.382  0.994  0.229
O  0.435  0.573  0.795
O  0.448  0.234  0.582
O  0.501  0.874  0.731
O  0.519  0.154  0.286
O  0.573  0.795  0.435
O  0.582  0.448  0.234
O  0.633  0.023  0.800
O  0.731  0.501  0.874
O  0.738  0.953  0.091
O  0.795  0.435  0.573
O  0.800  0.633  0.023
O  0.874  0.731  0.501
O  0.931  0.279  0.070
O  0.953  0.091  0.738
O  0.994  0.229  0.382

[3]
V2SiO4: theoretical X-ray powder pattern (copper Kα), based on the GGA+U geometry in the Materials Project.

Main lines, in order of rising 2θ (5° ≤ 2θ ≤ 70°):
2θ = 24.56°, d 3.624, I 60
2θ = 31.03°, d 2.882, I 75
2θ = 33.38°, d 2.684, I 27
2θ = 34.30°, d 2.614, I 74
2θ = 35.20°, d 2.549, I 100
2θ = 50.34°, d 1.813, I 73

Structural model:
a = 6.211 Å, b = 4.916 Å, c = 10.673 Å
α = 90.00°, β = 90.15°, γ = 90.00°
Fractional coordinates of all 28 atoms:
V  0.000  0.000  0.000
V  0.000  0.500  0.500
V  0.249  0.006  0.274
V  0.249  0.494  0.774
V  0.500  0.000  0.000
V  0.500  0.500  0.500
V  0.751  0.506  0.226
V  0.751  0.994  0.726
Si  0.250  0.572  0.095
Si  0.250  0.928  0.595
Si  0.750  0.072  0.405
Si  0.750  0.428  0.905
O  0.038  0.719  0.162
O  0.038  0.781  0.662
O  0.250  0.707  0.951
O  0.250  0.793  0.451
O  0.251  0.239  0.095
O  0.251  0.261  0.595
O  0.462  0.720  0.162
O  0.462  0.780  0.662
O  0.538  0.220  0.338
O  0.538  0.280  0.838
O  0.749  0.739  0.405
O  0.749  0.761  0.905
O  0.750  0.207  0.549
O  0.750  0.293  0.049
O  0.962  0.219  0.338
O  0.962  0.281  0.838

[4]
VAg4O4: theoretical X-ray powder pattern (copper Kα), based on the GGA+U geometry in the Materials Project.

Main lines, in order of rising 2θ (5° ≤ 2θ ≤ 70°):
2θ = 16.00°, d 5.540, I 18
2θ = 32.08°, d 2.790, I 100
2θ = 36.26°, d 2.477, I 22
2θ = 46.19°, d 1.966, I 14
2θ = 52.22°, d 1.752, I 16
2θ = 54.36°, d 1.688, I 21

Structural model:
a = 6.000 Å, b = 6.000 Å, c = 6.000 Å
α = 98.49°, β = 98.49°, γ = 134.81°
Fractional coordinates of all 9 atoms:
V  0.000  0.000  0.000
Ag  0.145  0.405  0.590
Ag  0.444  0.855  0.260
Ag  0.595  0.184  0.740
Ag  0.816  0.556  0.410
O  0.119  0.052  0.745
O  0.307  0.374  0.255
O  0.626  0.881  0.933
O  0.948  0.693  0.067

[5]
Li2VFeP2H2O10: theoretical X-ray powder pattern (copper Kα), based on the GGA+U geometry in the Materials Project.

Main lines, in order of rising 2θ (5° ≤ 2θ ≤ 70°):
2θ = 17.53°, d 5.059, I 38
2θ = 18.52°, d 4.790, I 38
2θ = 18.71°, d 4.742, I 47
2θ = 26.59°, d 3.353, I 100
2θ = 26.74°, d 3.334, I 100
2θ = 28.83°, d 3.096, I 86

Structural model:
a = 5.442 Å, b = 7.509 Å, c = 14.481 Å
α = 95.21°, β = 92.59°, γ = 110.72°
Fractional coordinates of all 54 atoms:
Li  0.000  0.000  0.000
Li  0.133  0.928  0.283
Li  0.333  0.332  0.334
Li  0.467  0.261  0.616
Li  0.667  0.666  0.667
Li  0.801  0.595  0.949
V  0.066  0.464  0.141
V  0.067  0.463  0.642
V  0.400  0.798  0.975
Fe  0.400  0.797  0.475
Fe  0.733  0.130  0.308
Fe  0.733  0.130  0.808
P  0.049  0.083  0.494
P  0.086  0.844  0.789
P  0.380  0.417  0.827
P  0.418  0.178  0.123
P  0.713  0.751  0.160
P  0.754  0.510  0.456
H  0.022  0.477  0.315
H  0.112  0.450  0.967
H  0.353  0.809  0.649
H  0.446  0.784  0.301
H  0.687  0.143  0.982
H  0.780  0.118  0.634
O  0.019  0.368  0.269
O  0.025  0.626  0.423
O  0.032  0.088  0.386
O  0.103  0.838  0.897
O  0.108  0.302  0.860
O  0.115  0.558  0.013
O  0.150  0.291  0.542
O  0.204  0.256  0.092
O  0.264  0.004  0.524
O  0.319  0.970  0.074
O  0.353  0.702  0.603
O  0.358  0.959  0.757
O  0.362  0.421  0.719
O  0.435  0.173  0.230
O  0.441  0.636  0.192
O  0.445  0.892  0.346
O  0.480  0.625  0.875
O  0.537  0.588  0.427
O  0.596  0.338  0.856
O  0.656  0.301  0.407
O  0.687  0.036  0.936
O  0.691  0.292  0.090
O  0.697  0.756  0.052
O  0.771  0.506  0.564
O  0.776  0.968  0.526
O  0.781  0.225  0.680
O  0.811  0.959  0.209
O  0.870  0.923  0.760
O  0.928  0.673  0.190
O  0.985  0.636  0.741